Simulated X-ray diffraction stick pattern
Compound: Li3Fe3P4O16
Radiation: Cu Kα (λ = 1.5418 Å)
Structure: a crystal structure in Alexandria, relaxed with PBE+U
Peak positions follow from Bragg's law for the DFT cell and can differ from measured ones.

Most intense lines, 5° ≤ 2θ ≤ 70°, sorted by position:
(0 1 0), 11.66 deg, 7.591 Å, intensity 100; (1 -1 0), 11.98 deg, 7.390 Å, intensity 57; (1 1 0), 20.98 deg, 4.235 Å, intensity 44; (0 2 -1), 21.75 deg, 4.086 Å, intensity 38; (0 2 0), 23.44 deg, 3.795 Å, intensity 46; (1 -1 2), 24.93 deg, 3.572 Å, intensity 76; (2 0 -2), 25.69 deg, 3.467 Å, intensity 54; (-2 2 2), 31.68 deg, 2.824 Å, intensity 38; (2 -2 2), 32.99 deg, 2.715 Å, intensity 38; (-3 1 2), 33.56 deg, 2.671 Å, intensity 36

Structure:
```
data_Li3Fe3P4O16
_space_group_name_H-M_alt 'P -1'
_space_group_IT_number 2
_cell_length_a 8.545
_cell_length_b 9.038
_cell_length_c 9.331
_cell_angle_alpha 103.06
_cell_angle_beta 104.63
_cell_angle_gamma 114.87
loop_
_space_group_symop_operation_xyz
'x,y,z'
'-x,-y,-z'
loop_
_atom_site_label
_atom_site_fract_x
_atom_site_fract_y
_atom_site_fract_z
Li1 0.081 0.107 0.301
Li2 0.282 0.976 0.534
Li3 0.314 0.061 0.141
Fe1 0.158 0.639 0.177
Fe2 0.213 0.782 0.735
Fe3 0.493 0.515 0.230
P1 0.056 0.231 0.040
P2 0.066 0.346 0.627
P3 0.456 0.709 0.533
P4 0.481 0.811 0.081
O1 0.008 0.760 0.556
O2 0.040 0.799 0.842
O3 0.051 0.925 0.116
O4 0.063 0.402 0.014
O5 0.086 0.530 0.677
O6 0.098 0.764 0.326
O7 0.240 0.341 0.715
O8 0.266 0.281 0.117
O9 0.321 0.039 0.794
O10 0.333 0.832 0.140
O11 0.340 0.156 0.430
O12 0.356 0.619 0.341
O13 0.360 0.806 0.597
O14 0.432 0.565 0.600
O15 0.443 0.819 0.912
O16 0.458 0.631 0.075
```